The following is a computed powder XRD pattern of Rb6Co2O7. It was derived from a GGA+U-relaxed structure, using CuKα.

Most intense lines, 2θ = 10–90°, most intense first:
| hkl | two_theta | I (rel.) |
| --- | --- | --- |
| 0 3 1 | 29.61 | 100 |
| 1 0 2 | 30.30 | 57 |
| 1 1 -4 | 32.51 | 53 |
| 2 1 -2 | 27.32 | 49 |
| 1 3 1 | 36.03 | 41 |
| 2 2 -1 | 32.99 | 35 |
| 2 1 -1 | 28.60 | 35 |
| 2 0 -4 | 32.25 | 29 |

Structural model:
Lattice parameters (Å, degrees): 6.954 9.532 11.691 90.00 124.58 90.00
Element x y z (fractional)
Rb (0.060, 0.147, 0.426)
Rb (0.060, 0.353, 0.926)
Rb (0.198, 0.528, 0.444)
Rb (0.198, 0.972, 0.944)
Rb (0.419, 0.205, 0.286)
Rb (0.419, 0.295, 0.786)
Rb (0.581, 0.705, 0.214)
Rb (0.581, 0.795, 0.714)
Rb (0.802, 0.028, 0.056)
Rb (0.802, 0.472, 0.556)
Rb (0.940, 0.647, 0.074)
Rb (0.940, 0.853, 0.574)
Co (0.318, 0.639, 0.868)
Co (0.318, 0.861, 0.368)
Co (0.682, 0.139, 0.632)
Co (0.682, 0.361, 0.132)
O (0.053, 0.664, 0.860)
O (0.053, 0.836, 0.360)
O (0.252, 0.592, 0.701)
O (0.252, 0.908, 0.201)
O (0.499, 0.706, 0.429)
O (0.499, 0.794, 0.929)
O (0.500, 0.000, 0.500)
O (0.500, 0.500, 0.000)
O (0.501, 0.206, 0.071)
O (0.501, 0.294, 0.571)
O (0.748, 0.092, 0.799)
O (0.748, 0.408, 0.299)
O (0.947, 0.164, 0.640)
O (0.947, 0.336, 0.140)